Record 1
Li4V2Co3Sb3O16: theoretical powder X-ray diffraction pattern (Cu Kα, 1.54184 Å), based on a cell relaxed with PBE+U.

Crystal structure
```
data_Li4V2Co3Sb3O16
_chemical_formula_sum 'Li4 V2 Co3 Sb3 O16'
_symmetry_space_group_name_H-M 'P 1'
_symmetry_Int_Tables_number 1
_cell_length_a 6.138
_cell_length_b 6.138
_cell_length_c 9.740
_cell_angle_alpha 90.79
_cell_angle_beta 90.79
_cell_angle_gamma 59.58
loop_
_symmetry_equiv_pos_as_xyz
'x,y,z'
loop_
_atom_site_label
_atom_site_fract_x
_atom_site_fract_y
_atom_site_fract_z
Li1 0.000 0.000 0.000
Li2 0.016 0.016 0.527
Li3 0.324 0.324 0.621
Li4 0.669 0.669 0.105
V1 0.316 0.316 0.008
V2 0.647 0.647 0.532
Co1 0.165 0.165 0.292
Co2 0.336 0.801 0.791
Co3 0.801 0.336 0.791
Sb1 0.165 0.660 0.293
Sb2 0.660 0.165 0.293
Sb3 0.817 0.817 0.795
O1 0.039 0.488 0.168
O2 0.149 0.653 0.915
O3 0.171 0.171 0.927
O4 0.314 0.828 0.404
O5 0.338 0.338 0.405
O6 0.480 0.480 0.169
O7 0.488 0.039 0.168
O8 0.507 0.507 0.655
O9 0.518 0.954 0.663
O10 0.653 0.149 0.915
O11 0.662 0.662 0.904
O12 0.828 0.314 0.404
O13 0.837 0.837 0.405
O14 0.954 0.518 0.663
O15 0.986 0.986 0.710
O16 0.990 0.990 0.188
```

Largest 10 diffraction maxima, low angle first, 2θ = 15–90°:
Position (°2θ)  I (rel.)
18.22  100
18.86  31
19.04  44
19.15  26
34.76  44
35.07  44
35.22  29
43.98  27
44.34  35
60.33  25

Record 2
Li2Co3Se4O12: theoretical powder X-ray diffraction pattern (Cu Kα, 1.54184 Å), based on a cell relaxed with PBE+U.

Crystal structure
```
data_Li2Co3Se4O12
_chemical_formula_sum 'Li4 Co6 Se8 O24'
_symmetry_space_group_name_H-M 'P 1'
_symmetry_Int_Tables_number 1
_cell_length_a 8.281
_cell_length_b 9.346
_cell_length_c 7.867
_cell_angle_alpha 90.00
_cell_angle_beta 115.46
_cell_angle_gamma 90.00
loop_
_symmetry_equiv_pos_as_xyz
'x,y,z'
loop_
_atom_site_label
_atom_site_fract_x
_atom_site_fract_y
_atom_site_fract_z
Li1 0.099 0.139 0.425
Li2 0.099 0.361 0.925
Li3 0.901 0.639 0.075
Li4 0.901 0.861 0.575
Co1 0.000 0.000 0.000
Co2 0.000 0.500 0.500
Co3 0.297 0.006 0.829
Co4 0.297 0.494 0.329
Co5 0.703 0.506 0.671
Co6 0.703 0.994 0.171
Se1 0.176 0.684 0.875
Se2 0.176 0.816 0.375
Se3 0.401 0.173 0.264
Se4 0.401 0.327 0.764
Se5 0.599 0.673 0.236
Se6 0.599 0.827 0.736
Se7 0.824 0.184 0.625
Se8 0.824 0.316 0.125
O1 0.032 0.153 0.815
O2 0.032 0.347 0.315
O3 0.142 0.604 0.053
O4 0.142 0.896 0.553
O5 0.165 0.632 0.421
O6 0.165 0.868 0.921
O7 0.211 0.082 0.237
O8 0.211 0.418 0.737
O9 0.322 0.162 0.663
O10 0.322 0.338 0.163
O11 0.456 0.099 0.091
O12 0.456 0.401 0.591
O13 0.544 0.599 0.409
O14 0.544 0.901 0.909
O15 0.678 0.662 0.837
O16 0.678 0.838 0.337
O17 0.789 0.582 0.263
O18 0.789 0.918 0.763
O19 0.835 0.132 0.079
O20 0.835 0.368 0.579
O21 0.858 0.104 0.447
O22 0.858 0.396 0.947
O23 0.968 0.653 0.685
O24 0.968 0.847 0.185
```

Largest 10 diffraction maxima, low angle first, 2θ = 15–90°:
Position (°2θ)  I (rel.)
23.07  64
24.58  35
25.66  100
27.86  43
31.35  35
32.22  57
32.51  58
33.98  32
35.56  47
48.30  32

Record 3
LiCoSiO4: theoretical powder X-ray diffraction pattern (Cu Kα, 1.54184 Å), based on a cell relaxed with PBE+U.

Crystal structure
```
data_LiCoSiO4
_chemical_formula_sum 'Li4 Co4 Si4 O16'
_symmetry_space_group_name_H-M 'P 1'
_symmetry_Int_Tables_number 1
_cell_length_a 10.755
_cell_length_b 6.345
_cell_length_c 5.076
_cell_angle_alpha 90.00
_cell_angle_beta 90.00
_cell_angle_gamma 90.00
loop_
_symmetry_equiv_pos_as_xyz
'x,y,z'
loop_
_atom_site_label
_atom_site_fract_x
_atom_site_fract_y
_atom_site_fract_z
Li1 0.168 0.007 0.000
Li2 0.332 0.507 0.500
Li3 0.668 0.493 0.000
Li4 0.832 0.993 0.500
Co1 0.087 0.264 0.500
Co2 0.413 0.764 0.000
Co3 0.587 0.236 0.500
Co4 0.913 0.736 0.000
Si1 0.168 0.509 0.004
Si2 0.332 0.009 0.504
Si3 0.668 0.991 0.004
Si4 0.832 0.491 0.504
O1 0.084 0.723 0.943
O2 0.112 0.294 0.866
O3 0.171 0.479 0.325
O4 0.189 0.043 0.392
O5 0.311 0.543 0.892
O6 0.329 0.979 0.825
O7 0.388 0.794 0.366
O8 0.416 0.223 0.443
O9 0.584 0.777 0.943
O10 0.612 0.206 0.866
O11 0.671 0.021 0.325
O12 0.689 0.457 0.392
O13 0.811 0.957 0.892
O14 0.829 0.521 0.825
O15 0.888 0.706 0.366
O16 0.916 0.277 0.443
```

Largest 10 diffraction maxima, low angle first, 2θ = 15–90°:
Position (°2θ)  I (rel.)
16.22  26
21.66  75
22.43  100
23.93  23
27.96  20
32.77  39
33.32  22
35.37  37
37.37  32
59.20  21